# LaB3H12
Calculated X-ray diffraction stick pattern, a wavelength of 1.5418 Å. Input: the PBE geometry in Alexandria.
Intensities are scaled so that the largest is 100.

The 6 most intense peaks (10° ≤ 2θ ≤ 90°), by angle:
2θ (°), I_rel
15.3, 100
21.6, 28
21.8, 28
34.6, 24
34.7, 24
38.1, 22

Atomic structure:
```
32
Lattice="4.0852 2.3586 6.7196 -4.0852 2.3586 6.7196 0.0000 -4.7172 6.7196" Properties=species:S:1:pos:R:3 pbc="T T T"
La 0.0000 0.0000 0.0000
La 0.0000 0.0000 10.0793
B -2.0726 1.1274 8.3994
B -2.0126 -1.2312 11.7592
B 0.0600 -2.3586 8.3994
B -0.0600 2.3586 11.7592
B 2.0126 1.2312 8.3994
B 2.0726 -1.1274 11.7592
H -3.2821 0.9828 8.5749
H -2.4922 -2.3510 11.5837
H -0.6641 -2.4675 7.4093
H -1.5931 0.0076 8.2240
H -2.2804 -0.5498 10.7691
H -0.6641 -2.2498 9.3896
H -1.8048 1.8089 7.4093
H -2.4689 -0.6586 12.7493
H 0.7899 -3.3338 8.5749
H -1.6163 1.7000 9.3896
H -0.8031 -1.3758 11.9347
H 0.7899 -1.3834 8.2240
H -0.7899 1.3834 11.9347
H 0.8031 1.3758 8.2240
H 1.6163 -1.7000 10.7691
H -0.7899 3.3338 11.5837
H 2.4689 0.6586 7.4093
H 1.8048 -1.8089 12.7493
H 0.6641 2.2498 10.7691
H 2.2804 0.5498 9.3895
H 1.5931 -0.0076 11.9347
H 0.6641 2.4675 12.7493
H 2.4922 2.3510 8.5749
H 3.2821 -0.9828 11.5837
```